For KH3Se2O6, a crystal structure in the Materials Project, relaxed with PBE gives the calculated X-ray powder pattern in this record (a wavelength of 1.5418 Å).

Atomic structure:
a b c (Å): 16.252 6.403 6.478
angles (deg): 90.00 90.00 90.00
Space group Pbcn (No. 60)
One atom of each set of equivalent atoms:
K1 0.000 0.189 0.250 (multiplicity 4)
H1 0.000 0.377 0.750 (multiplicity 4)
H2 0.172 0.058 0.531 (multiplicity 8)
Se1 0.150 0.308 0.791 (multiplicity 8)
O1 0.063 0.387 0.649 (multiplicity 8)
O2 0.111 0.109 0.933 (multiplicity 8)
O3 0.207 0.179 0.591 (multiplicity 8)

Main lines, in order of rising 2θ (5° ≤ 2θ ≤ 70°):
hkl, two_theta, d/Å, intensity
1 1 1, 20.25, 4.385, 30
4 0 0, 21.88, 4.063, 12
3 1 1, 25.55, 3.486, 100
0 0 2, 27.54, 3.239, 14
0 2 0, 27.87, 3.201, 14
0 2 1, 31.16, 2.870, 15
6 0 2, 43.56, 2.078, 8
6 2 0, 43.77, 2.068, 9
3 3 0, 45.70, 1.985, 11
3 3 2, 54.18, 1.693, 9